1.
Structure and calculated powder diffraction line list of Ag2Hg4AsBr5 (a crystal structure in Alexandria, relaxed with GGA-PBE; CuKα).
No peak broadening, texture or thermal motion is included.

Crystal structure
a b c (Å): 9.1259 7.1811 7.1811
angles (deg): 127.89 90.00 90.00
Fractional positions:
Ag (0.0000, 0.1991, 0.8009)
Ag (0.0000, 0.8009, 0.1991)
Hg (0.2904, 0.3903, 0.3903)
Hg (0.5000, 0.3233, 0.9000)
Hg (0.5000, 0.9000, 0.3233)
Hg (0.7096, 0.3903, 0.3903)
As (0.5000, 0.1171, 0.1171)
Br (0.0000, 0.1762, 0.1762)
Br (0.2096, 0.5073, 0.8262)
Br (0.2096, 0.8262, 0.5073)
Br (0.7904, 0.5073, 0.8262)
Br (0.7904, 0.8262, 0.5073)

Largest 10 diffraction maxima, by intensity, 10° ≤ 2θ ≤ 90°:
d 3.554, intensity 1000; d 2.116, intensity 404; d 3.725, intensity 352; d 2.022, intensity 313; d 2.804, intensity 277; d 5.668, intensity 272; d 2.834, intensity 261; d 2.190, intensity 215; d 2.595, intensity 196; d 2.281, intensity 182

2.
Structure and calculated powder diffraction line list of AcTb5Pr2Nd (a crystal structure in Alexandria, relaxed with GGA-PBE; CuKα).
No peak broadening, texture or thermal motion is included.

Crystal structure
a b c (Å): 10.1546 10.1546 10.1546
angles (deg): 128.11 128.11 76.44
Fractional positions:
Ac (0.2500, 0.7500, 0.5000)
Ac (0.7500, 0.2500, 0.5000)
Tb (0.0000, 0.0000, 0.0000)
Tb (0.0786, 0.5786, 0.9252)
Tb (0.1534, 0.0786, 0.5000)
Tb (0.3466, 0.8466, 0.9252)
Tb (0.4214, 0.3466, 0.5000)
Tb (0.5000, 0.5000, 0.0000)
Tb (0.5786, 0.6534, 0.5000)
Tb (0.6534, 0.1534, 0.0748)
Tb (0.8466, 0.9214, 0.5000)
Tb (0.9214, 0.4214, 0.0748)
Pr (0.1163, 0.3837, 0.5000)
Pr (0.3837, 0.8837, 0.2674)
Pr (0.6163, 0.1163, 0.7326)
Pr (0.8837, 0.6163, 0.5000)
Nd (0.2500, 0.2500, 0.0000)
Nd (0.7500, 0.7500, 0.0000)

Largest 10 diffraction maxima, by intensity, 10° ≤ 2θ ≤ 90°:
d 2.968, intensity 1000; d 3.141, intensity 505; d 3.183, intensity 342; d 1.778, intensity 250; d 1.995, intensity 197; d 1.684, intensity 193; d 2.138, intensity 182; d 2.650, intensity 145; d 2.435, intensity 134; d 2.488, intensity 106

3.
Structure and calculated powder diffraction line list of LiBi2O4 (a crystal structure in Alexandria, relaxed with GGA-PBE; CuKα).
No peak broadening, texture or thermal motion is included.

Crystal structure
a b c (Å): 5.4954 6.1446 11.5793
angles (deg): 90.00 90.00 90.00
Fractional positions:
Li (0.0000, 0.0000, 0.0000)
Li (0.0000, 0.5000, 0.5000)
Li (0.5000, 0.0000, 0.5000)
Li (0.5000, 0.5000, 0.0000)
Bi (0.0069, 0.1004, 0.3603)
Bi (0.0069, 0.3996, 0.8603)
Bi (0.4931, 0.6004, 0.3603)
Bi (0.4931, 0.8996, 0.8603)
Bi (0.5069, 0.1004, 0.1397)
Bi (0.5069, 0.3996, 0.6397)
Bi (0.9931, 0.6004, 0.1397)
Bi (0.9931, 0.8996, 0.6397)
O (0.1530, 0.5533, 0.6849)
O (0.1530, 0.9467, 0.1849)
O (0.1763, 0.6749, 0.9634)
O (0.1763, 0.8251, 0.4634)
O (0.3237, 0.1749, 0.9634)
O (0.3237, 0.3251, 0.4634)
O (0.3470, 0.0533, 0.6849)
O (0.3470, 0.4467, 0.1849)
O (0.6530, 0.5533, 0.8151)
O (0.6530, 0.9467, 0.3151)
O (0.6763, 0.6749, 0.5366)
O (0.6763, 0.8251, 0.0366)
O (0.8237, 0.1749, 0.5366)
O (0.8237, 0.3251, 0.0366)
O (0.8470, 0.0533, 0.8151)
O (0.8470, 0.4467, 0.3151)

Largest 10 diffraction maxima, by intensity, 10° ≤ 2θ ≤ 90°:
d 3.862, intensity 1000; d 3.344, intensity 932; d 2.809, intensity 789; d 1.822, intensity 482; d 2.017, intensity 468; d 2.970, intensity 466; d 2.895, intensity 372; d 2.748, intensity 368; d 1.993, intensity 305; d 1.535, intensity 285

4.
Structure and calculated powder diffraction line list of Tm6In3Ru (a crystal structure in Alexandria, relaxed with GGA-PBE; CuKα).
No peak broadening, texture or thermal motion is included.

Crystal structure
a b c (Å): 9.1132 5.2066 11.1938
angles (deg): 90.00 107.42 90.00
Fractional positions:
Tm (0.0444, 0.2500, 0.4173)
Tm (0.1948, 0.7500, 0.1672)
Tm (0.2847, 0.2500, 0.0045)
Tm (0.3501, 0.7500, 0.8289)
Tm (0.3737, 0.2500, 0.3386)
Tm (0.3961, 0.2500, 0.6474)
Tm (0.6039, 0.7500, 0.3526)
Tm (0.6263, 0.7500, 0.6614)
Tm (0.6499, 0.2500, 0.1711)
Tm (0.7153, 0.7500, 0.9955)
Tm (0.8052, 0.2500, 0.8328)
Tm (0.9556, 0.7500, 0.5827)
In (0.0108, 0.7500, 0.8808)
In (0.0947, 0.2500, 0.7192)
In (0.2776, 0.7500, 0.4772)
In (0.7224, 0.2500, 0.5228)
In (0.9053, 0.7500, 0.2808)
In (0.9892, 0.2500, 0.1192)
Ru (0.4623, 0.7500, 0.0943)
Ru (0.5377, 0.2500, 0.9057)

Largest 10 diffraction maxima, by intensity, 10° ≤ 2θ ≤ 90°:
d 2.596, intensity 1000; d 2.623, intensity 719; d 2.603, intensity 635; d 2.773, intensity 269; d 2.658, intensity 241; d 1.859, intensity 196; d 1.502, intensity 185; d 1.498, intensity 172; d 2.367, intensity 158; d 2.562, intensity 158

5.
Structure and calculated powder diffraction line list of Y2Mg3Au4 (a crystal structure in Alexandria, relaxed with GGA-PBE; CuKα).
No peak broadening, texture or thermal motion is included.

Crystal structure
a b c (Å): 4.7313 4.7400 9.9099
angles (deg): 89.73 89.88 60.16
Fractional positions:
Y (0.1667, 0.1648, 0.2180)
Y (0.8333, 0.8352, 0.7820)
Mg (0.1666, 0.1698, 0.5768)
Mg (0.5000, 0.5000, 0.0000)
Mg (0.8334, 0.8302, 0.4232)
Au (0.1666, 0.1680, 0.9169)
Au (0.5002, 0.4954, 0.3575)
Au (0.4998, 0.5046, 0.6425)
Au (0.8334, 0.8320, 0.0831)

Largest 10 diffraction maxima, by intensity, 10° ≤ 2θ ≤ 90°:
d 3.795, intensity 1000; d 2.575, intensity 937; d 2.372, intensity 901; d 2.570, intensity 468; d 2.366, intensity 447; d 3.782, intensity 253; d 1.403, intensity 212; d 3.165, intensity 167; d 1.530, intensity 149; d 1.749, intensity 148

6.
Structure and calculated powder diffraction line list of KSr8 (a crystal structure in Alexandria, relaxed with GGA-PBE; CuKα).
No peak broadening, texture or thermal motion is included.

Crystal structure
a b c (Å): 9.6041 9.6041 9.6041
angles (deg): 95.73 95.73 143.15
Fractional positions:
K (0.0000, 0.0000, 0.0000)
Sr (0.0000, 0.3358, 0.3358)
Sr (0.0000, 0.6642, 0.6642)
Sr (0.3311, 0.3311, 0.6622)
Sr (0.3311, 0.6689, 0.0000)
Sr (0.3358, 0.0000, 0.3358)
Sr (0.6642, 0.0000, 0.6642)
Sr (0.6689, 0.3311, 0.0000)
Sr (0.6689, 0.6689, 0.3378)

Largest 10 diffraction maxima, by intensity, 10° ≤ 2θ ≤ 90°:
d 3.506, intensity 1000; d 3.037, intensity 516; d 1.831, intensity 462; d 2.147, intensity 382; d 1.393, intensity 186; d 1.358, intensity 171; d 1.169, intensity 141; d 1.753, intensity 134; d 1.240, intensity 127; d 1.518, intensity 62

7.
Structure and calculated powder diffraction line list of Ag2SnTe3 (a crystal structure in Alexandria, relaxed with GGA-PBE; CuKα).
No peak broadening, texture or thermal motion is included.

Crystal structure
a b c (Å): 15.2839 7.9391 14.5960
angles (deg): 79.44 30.71 69.85
Fractional positions:
Ag (0.0000, 0.0000, 0.0000)
Ag (0.2500, 0.2500, 0.2500)
Ag (0.3330, 0.6460, 0.3263)
Ag (0.4894, 0.4894, 0.5106)
Ag (0.5553, 0.9237, 0.6040)
Ag (0.6460, 0.3330, 0.6947)
Ag (0.7394, 0.7394, 0.7606)
Ag (0.9237, 0.5553, 0.9170)
Sn (0.0909, 0.3941, 0.0762)
Sn (0.1738, 0.8111, 0.1591)
Sn (0.3941, 0.0909, 0.4389)
Sn (0.8111, 0.1738, 0.8559)
Te (0.0294, 0.1963, 0.3081)
Te (0.1090, 0.6229, 0.3863)
Te (0.1963, 0.0294, 0.4662)
Te (0.2881, 0.4630, 0.5420)
Te (0.3681, 0.8637, 0.6271)
Te (0.4630, 0.2881, 0.7069)
Te (0.5431, 0.7080, 0.7870)
Te (0.6229, 0.1090, 0.8819)
Te (0.7080, 0.5431, 0.9619)
Te (0.7838, 0.9419, 0.0537)
Te (0.8637, 0.3681, 0.1410)
Te (0.9419, 0.7838, 0.2206)

Largest 10 diffraction maxima, by intensity, 10° ≤ 2θ ≤ 90°:
d 3.755, intensity 1000; d 2.296, intensity 519; d 1.965, intensity 320; d 2.306, intensity 262; d 1.329, intensity 165; d 1.952, intensity 158; d 1.490, intensity 125; d 1.631, intensity 85; d 1.324, intensity 82; d 1.255, intensity 68

8.
Structure and calculated powder diffraction line list of Ho4Er10Sc (a crystal structure in Alexandria, relaxed with GGA-PBE; CuKα).
No peak broadening, texture or thermal motion is included.

Crystal structure
a b c (Å): 8.5105 8.5105 8.5105
angles (deg): 110.51 110.51 107.41
Fractional positions:
Ho (0.0687, 0.6761, 0.7448)
Ho (0.3239, 0.0687, 0.3926)
Ho (0.6761, 0.9313, 0.6074)
Ho (0.9313, 0.3239, 0.2552)
Er (0.1240, 0.2265, 0.6779)
Er (0.2265, 0.5487, 0.1026)
Er (0.2500, 0.7500, 0.5000)
Er (0.4461, 0.1240, 0.8974)
Er (0.4513, 0.5539, 0.6779)
Er (0.5487, 0.4461, 0.3221)
Er (0.5539, 0.8760, 0.1026)
Er (0.7500, 0.2500, 0.5000)
Er (0.7735, 0.4513, 0.8974)
Er (0.8760, 0.7735, 0.3221)
Sc (0.0000, 0.0000, 0.0000)

Largest 10 diffraction maxima, by intensity, 10° ≤ 2θ ≤ 90°:
d 3.068, intensity 1000; d 2.656, intensity 859; d 2.620, intensity 554; d 3.174, intensity 503; d 3.079, intensity 444; d 1.992, intensity 369; d 2.599, intensity 293; d 2.169, intensity 227; d 1.473, intensity 203; d 2.100, intensity 199